Starting from the GGA-PBE geometry in Alexandria, the powder diffractogram of SmB6Ir5 was simulated for λ = 1.5418 Å (Cu Kα).

Structure:
```
SmB6Ir5
1.0
3.3063 -4.0650 0.0000
3.3063 4.0650 0.0000
-0.1308 0.0000 5.4732
Sm B Ir
1 6 5
direct
0.0000 0.0000 0.0000 Sm
0.0440 0.8237 0.5296 B
0.1837 0.1837 0.5409 B
0.4470 0.8185 0.0256 B
0.4519 0.4519 0.0359 B
0.8185 0.4470 0.0256 B
0.8237 0.0440 0.5296 B
0.1400 0.4991 0.3017 Ir
0.1652 0.5440 0.7909 Ir
0.4991 0.1400 0.3017 Ir
0.5440 0.1652 0.7909 Ir
0.6800 0.6800 0.3229 Ir
```

The 6 most intense peaks (2θ = 10–90°), by angle:
Position (°2θ)  I_rel
27.0  47
32.7  51
35.0  57
35.8  100
39.7  40
49.1  62



Starting from the GGA-PBE geometry in Alexandria, the powder diffractogram of Ac2Pr4Th was simulated for λ = 1.5418 Å (Cu Kα).

Structure:
```
Ac2Pr4Th
1.0
1.8906 1.0915 21.4752
-1.8906 1.0915 21.4752
0.0000 -2.1830 21.4752
Ac Pr Th
2 4 1
direct
0.0719 0.0719 0.0719 Ac
0.9281 0.9281 0.9281 Ac
0.2110 0.2110 0.2110 Pr
0.3568 0.3568 0.3568 Pr
0.6432 0.6432 0.6432 Pr
0.7890 0.7890 0.7890 Pr
0.5000 0.5000 0.5000 Th
```

The 6 most intense peaks (2θ = 10–90°), by angle:
Position (°2θ)  I_rel
28.9  100
29.1  32
33.6  67
48.1  25
48.3  23
57.2  44



Starting from the GGA-PBE geometry in Alexandria, the powder diffractogram of Zr5P was simulated for λ = 1.5418 Å (Cu Kα).

Structure:
```
Zr5P
1.0
4.0784 0.0000 0.0000
0.0000 13.3945 0.0000
0.0000 0.0000 4.5504
Zr P
10 2
direct
0.0000 0.0000 0.0000 Zr
0.0000 0.1465 0.5000 Zr
0.0000 0.3370 0.0000 Zr
0.0000 0.6630 0.0000 Zr
0.0000 0.8535 0.5000 Zr
0.5000 0.1630 0.0000 Zr
0.5000 0.3535 0.5000 Zr
0.5000 0.5000 0.0000 Zr
0.5000 0.6465 0.5000 Zr
0.5000 0.8370 0.0000 Zr
0.0000 0.5000 0.5000 P
0.5000 0.0000 0.5000 P
```

The 6 most intense peaks (2θ = 10–90°), by angle:
Position (°2θ)  I_rel
35.8  100
39.6  20
40.4  15
44.4  14
61.0  11
69.4  14



Starting from the GGA-PBE geometry in Alexandria, the powder diffractogram of Ce3ThC2 was simulated for λ = 1.5418 Å (Cu Kα).

Structure:
```
Ce3ThC2
1.0
7.0966 -1.7859 0.0000
7.0966 1.7859 0.0000
-5.4114 0.0000 11.0944
Ce Th C
6 2 4
direct
0.1380 0.1380 0.2360 Ce
0.3616 0.3616 0.0125 Ce
0.3617 0.3617 0.5167 Ce
0.6383 0.6383 0.4833 Ce
0.6384 0.6384 0.9875 Ce
0.8620 0.8620 0.7640 Ce
0.1354 0.1354 0.7332 Th
0.8646 0.8646 0.2668 Th
0.2488 0.2488 0.6247 C
0.2519 0.2519 0.1267 C
0.7481 0.7481 0.8733 C
0.7512 0.7512 0.3753 C
```

The 6 most intense peaks (2θ = 10–90°), by angle:
Position (°2θ)  I_rel
28.0  34
28.9  24
32.2  100
32.3  22
40.7  28
51.2  24



Starting from the GGA-PBE geometry in Alexandria, the powder diffractogram of KSr12Ca5 was simulated for λ = 1.5418 Å (Cu Kα).

Structure:
```
KSr12Ca5
1.0
2.9732 -8.9005 0.0000
2.9732 8.9005 0.0000
0.0000 0.0000 17.5129
K Sr Ca
1 12 5
direct
0.0000 0.0000 0.0000 K
0.0000 0.0000 0.3423 Sr
0.0000 0.0000 0.6577 Sr
0.1689 0.8311 0.1672 Sr
0.1689 0.8311 0.8328 Sr
0.3335 0.6665 0.3423 Sr
0.3335 0.6665 0.6577 Sr
0.5000 0.5000 0.1695 Sr
0.5000 0.5000 0.8305 Sr
0.6665 0.3335 0.3423 Sr
0.6665 0.3335 0.6577 Sr
0.8311 0.1689 0.1672 Sr
0.8311 0.1689 0.8328 Sr
0.1668 0.8332 0.5000 Ca
0.3265 0.6735 0.0000 Ca
0.5000 0.5000 0.5000 Ca
0.6735 0.3265 0.0000 Ca
0.8332 0.1668 0.5000 Ca
```

The 6 most intense peaks (2θ = 10–90°), by angle:
Position (°2θ)  I_rel
26.1  100
30.1  35
30.6  16
43.5  24
51.1  30
51.8  13



Starting from the GGA-PBE geometry in Alexandria, the powder diffractogram of Zn2CdSe3 was simulated for λ = 1.5418 Å (Cu Kα).

Structure:
```
Zn2CdSe3
1.0
3.6011 -6.2558 0.0000
3.6011 6.2558 0.0000
-2.3638 0.0000 6.7848
Zn Cd Se
4 2 6
direct
0.0829 0.9171 0.5000 Zn
0.2448 0.7532 0.9991 Zn
0.7532 0.2448 0.4991 Zn
0.9171 0.0829 0.0000 Zn
0.4134 0.5871 0.5012 Cd
0.5871 0.4134 0.0012 Cd
0.1050 0.6273 0.6306 Se
0.2702 0.4565 0.1092 Se
0.4565 0.2702 0.6092 Se
0.6273 0.1050 0.1306 Se
0.8112 0.9748 0.6324 Se
0.9748 0.8112 0.1324 Se
```

The 6 most intense peaks (2θ = 10–90°), by angle:
Position (°2θ)  I_rel
26.2  100
43.4  24
43.5  49
51.4  29
51.6  11
79.7  11



Starting from the GGA-PBE geometry in Alexandria, the powder diffractogram of Rb3Sr2F7 was simulated for λ = 1.5418 Å (Cu Kα).

Structure:
```
Rb3Sr2F7
1.0
-2.3867 2.3867 11.9217
2.3867 -2.3867 11.9217
2.3867 2.3867 -11.9217
Rb Sr F
3 2 7
direct
0.0000 0.0000 0.0000 Rb
0.1873 0.1873 0.0000 Rb
0.8127 0.8127 0.0000 Rb
0.3991 0.3991 0.0000 Sr
0.6009 0.6009 0.0000 Sr
0.0987 0.5987 0.5000 F
0.2990 0.2990 0.0000 F
0.4013 0.9013 0.5000 F
0.5000 0.5000 0.0000 F
0.5987 0.0987 0.5000 F
0.7010 0.7010 0.0000 F
0.9013 0.4013 0.5000 F
```

The 6 most intense peaks (2θ = 10–90°), by angle:
Position (°2θ)  I_rel
26.4  100
37.7  41
46.6  39
54.4  25
61.4  16
74.4  17



Starting from the GGA-PBE geometry in Alexandria, the powder diffractogram of TbHoTlAu was simulated for λ = 1.5418 Å (Cu Kα).

Structure:
```
TbHoTlAu
1.0
3.6245 0.0000 0.0000
0.0000 3.6245 0.0000
0.0000 0.0000 7.7102
Tb Ho Tl Au
1 1 1 1
direct
0.0000 0.0000 0.0000 Tb
0.0000 0.0000 0.4591 Ho
0.5000 0.5000 0.7285 Tl
0.5000 0.5000 0.2389 Au
```

The 6 most intense peaks (2θ = 10–90°), by angle:
Position (°2θ)  I_rel
33.9  100
35.0  48
50.3  18
60.1  18
62.1  36
71.4  12



Starting from the GGA-PBE geometry in Alexandria, the powder diffractogram of Li3CuF4 was simulated for λ = 1.5418 Å (Cu Kα).

Structure:
```
Li3CuF4
1.0
2.8732 0.0000 0.0000
-1.4366 2.4883 0.0000
0.0000 0.0000 20.4282
Li Cu F
6 2 8
direct
0.0000 0.0000 0.0000 Li
0.0000 0.0000 0.5000 Li
0.3333 0.6667 0.1155 Li
0.3333 0.6667 0.3845 Li
0.6667 0.3333 0.6155 Li
0.6667 0.3333 0.8845 Li
0.3333 0.6667 0.7500 Cu
0.6667 0.3333 0.2500 Cu
0.0000 0.0000 0.1714 F
0.0000 0.0000 0.3286 F
0.0000 0.0000 0.6714 F
0.0000 0.0000 0.8286 F
0.3333 0.6667 0.5577 F
0.3333 0.6667 0.9423 F
0.6667 0.3333 0.0577 F
0.6667 0.3333 0.4423 F
```

The 6 most intense peaks (2θ = 10–90°), by angle:
Position (°2θ)  I_rel
17.4  50
36.4  75
42.5  100
45.1  72
62.4  26
64.9  32



Starting from the GGA-PBE geometry in Alexandria, the powder diffractogram of Na3TmPd3O8 was simulated for λ = 1.5418 Å (Cu Kα).

Structure:
```
Na3TmPd3O8
1.0
5.8329 -3.0676 0.0000
5.8329 3.0676 0.0000
-3.0289 0.0000 5.5918
Na Tm Pd O
3 1 3 8
direct
0.0000 0.0000 0.0000 Na
0.0000 0.5000 0.0000 Na
0.5000 0.0000 0.0000 Na
0.0000 0.0000 0.5000 Tm
0.0000 0.5000 0.5000 Pd
0.5000 0.0000 0.5000 Pd
0.5000 0.5000 0.5000 Pd
0.2224 0.6851 0.6773 O
0.2229 0.2229 0.2637 O
0.2229 0.2229 0.6960 O
0.3149 0.7776 0.3227 O
0.6851 0.2224 0.6773 O
0.7771 0.7771 0.3040 O
0.7771 0.7771 0.7363 O
0.7776 0.3149 0.3227 O
```

The 6 most intense peaks (2θ = 10–90°), by angle:
Position (°2θ)  I_rel
15.8  100
32.0  18
33.9  24
34.1  28
35.0  27
40.9  39



Which formula does entry 9 have? Li3CuF4